This entry pairs a crystal structure of CaCoIO6 with its simulated powder X-ray diffraction pattern. Radiation: a wavelength of 1.5418 Å. Structure: a structure optimized by DFT (GGA+U).
No peak broadening, texture or thermal motion is included.

Peak list (8 most intense, 10° ≤ 2θ ≤ 90°, sorted by position)
- 2θ 17.25, rel. 64, hkl 0 0 1
- 2θ 20.35, rel. 31, hkl 1 0 0
- 2θ 26.80, rel. 100, hkl 1 0 1
- 2θ 35.63, rel. 34, hkl 1 1 0
- 2θ 39.84, rel. 36, hkl 2 -1 1
- 2θ 45.13, rel. 20, hkl 2 0 1
- 2θ 50.74, rel. 52, hkl 2 -1 2
- 2θ 58.78, rel. 20, hkl 3 -1 1

Crystal structure
```
9
Lattice="5.0402 0.0000 0.0000 -2.5201 4.3649 0.0000 0.0000 0.0000 5.1398" Properties=species:S:1:pos:R:3 pbc="T T T"
Ca 0.0000 0.0000 0.0000
Co 0.0000 2.9100 2.5699
I 2.5201 1.4550 2.5699
O 1.8705 0.0081 3.6409
O 0.9423 1.6158 1.4989
O 3.1697 0.0081 1.4989
O 1.5919 2.7410 3.6409
O 4.0979 1.6158 3.6409
O 3.4483 2.7410 1.4989
```